1.
Starting from a crystal structure in Alexandria, relaxed with GGA-PBE, the X-ray diffraction stick pattern of Ac4Br3F7 was computed for Cu Kα.
Neutral-atom scattering factors, no anomalous dispersion.

Atomic structure:
```
data_Ac4Br3F7
_chemical_formula_sum 'Ac8 Br6 F14'
_cell_length_a 16.5653
_cell_length_b 4.2141
_cell_length_c 9.8053
_cell_angle_alpha 90.00
_cell_angle_beta 112.93
_cell_angle_gamma 90.00
_symmetry_space_group_name_H-M 'C 1 2/m 1'
_symmetry_Int_Tables_number 12
loop_
_symmetry_equiv_pos_as_xyz
'x,y,z'
'-x,-y,-z'
'-x,y,-z'
'x,-y,z'
'x+1/2,y+1/2,z'
'-x+1/2,-y+1/2,-z'
'-x+1/2,y+1/2,-z'
'x+1/2,-y+1/2,z'
loop_
_atom_site_label
_atom_site_type_symbol
_atom_site_fract_x
_atom_site_fract_y
_atom_site_fract_z
_atom_site_occupancy
Ac1 Ac 0.1186 0.0000 0.4195 1
Ac2 Ac 0.1771 0.5000 0.1078 1
Br1 Br 0.0000 0.0000 0.0000 1
Br2 Br 0.1625 0.5000 0.7009 1
F1 F 0.0000 0.0000 0.5000 1
F2 F 0.0530 0.5000 0.2991 1
F3 F 0.1928 0.0000 0.9692 1
F4 F 0.2203 0.5000 0.3932 1
```

Main lines, in order of rising 2θ (2θ = 15–90°):
- hkl 2 0 1, 2θ = 17.9°, I 40.8
- hkl 4 0 0, 2θ = 23.3°, I 23.3
- hkl 4 0 -2, 2θ = 24.0°, I 32.0
- hkl 3 1 -1, 2θ = 26.8°, I 79.8
- hkl 2 0 -3, 2θ = 27.3°, I 55.8
- hkl 1 1 2, 2θ = 31.1°, I 100.0
- hkl 6 0 0, 2θ = 35.3°, I 25.5
- hkl 5 1 0, 2θ = 36.3°, I 35.5
- hkl 0 2 0, 2θ = 42.9°, I 31.0
- hkl 5 1 -4, 2θ = 45.0°, I 24.9
- hkl 7 1 -3, 2θ = 46.2°, I 31.2
- hkl 2 2 -3, 2θ = 51.6°, I 21.3

2.
Starting from a crystal structure in Alexandria, relaxed with GGA-PBE, the X-ray diffraction stick pattern of PuGe2Te4 was computed for Cu Kα.
Neutral-atom scattering factors, no anomalous dispersion.

Atomic structure:
```
data_PuGe2Te4
_chemical_formula_sum 'Pu2 Ge4 Te8'
_cell_length_a 8.2460
_cell_length_b 8.2460
_cell_length_c 6.9387
_cell_angle_alpha 90.00
_cell_angle_beta 90.00
_cell_angle_gamma 90.00
_symmetry_space_group_name_H-M 'I 4/m'
_symmetry_Int_Tables_number 87
_symmetry_space_group_name_Hall '-I 4'
loop_
_atom_site_label
_atom_site_type_symbol
_atom_site_fract_x
_atom_site_fract_y
_atom_site_fract_z
_atom_site_occupancy
Pu1 Pu 0.0000 0.0000 0.0000 1
Ge1 Ge 0.0000 0.5000 0.2500 1
Te1 Te 0.1696 0.7032 0.5000 1
```

Main lines, in order of rising 2θ (2θ = 15–90°):
- hkl 1 0 1, 2θ = 16.7°, I 28.0
- hkl 0 0 2, 2θ = 25.7°, I 25.8
- hkl 1 2 1, 2θ = 27.4°, I 100.0
- hkl 1 1 2, 2θ = 30.0°, I 20.6
- hkl 2 2 0, 2θ = 30.7°, I 35.9
- hkl 3 0 1, 2θ = 35.1°, I 11.5
- hkl 2 2 2, 2θ = 40.4°, I 11.8
- hkl 3 1 2, 2θ = 43.4°, I 48.3
- hkl 1 2 3, 2θ = 46.3°, I 24.0
- hkl 4 1 1, 2θ = 47.3°, I 23.1
- hkl 3 4 1, 2θ = 57.4°, I 16.9
- hkl 5 3 2, 2θ = 72.1°, I 19.1